Entry 1:
Structure and computed X-ray powder pattern of Sr2Mg16In (a structure optimized by DFT (PBE); copper Kα).

Top 6 peaks for 2θ = 15–90°, by angle:
2θ/deg, intensity, index
16.88, 64, 1 1 0
24.25, 49, 1 1 3
29.45, 88, 3 0 0
34.13, 98, 2 2 0
34.35, 100, 0 3 3
34.99, 65, 0 0 6

Structure:
Cell lengths 10.5069, 10.5069, 15.3913 Å; angles 90.00, 90.00, 120.00 degrees
Space group R3m (No. 160, hexagonal axes)
Asymmetric unit:
1 Sr 0.0000 0.0000 0.0000 [3 per cell]
2 Sr 0.0000 0.0000 0.3292 [3 per cell]
3 Mg 0.0000 0.0000 0.7581 [3 per cell]
4 Mg 0.9999 0.2989 0.6650 [18 per cell]
5 Mg 0.0060 0.5030 0.8190 [9 per cell]
6 Mg 0.1674 0.3348 0.4981 [9 per cell]
7 Mg 0.1681 0.3362 0.8448 [9 per cell]
8 In 0.0000 0.0000 0.5614 [3 per cell]


Entry 2:
Structure and computed X-ray powder pattern of Tl2PdF5 (a structure optimized by DFT (PBE); copper Kα).

Top 6 peaks for 2θ = 15–90°, by angle:
2θ/deg, intensity, index
20.40, 35, 1 1 0
29.00, 43, 2 0 0
29.22, 100, 1 1 1
35.90, 37, 2 0 1
41.48, 29, 2 2 0
51.54, 42, 3 1 1

Structure:
Cell lengths 6.1578, 6.1578, 4.2917 Å; angles 90.00, 90.00, 90.00 degrees
Space group P4/mmm (No. 123)
Asymmetric unit:
1 Tl 0.0000 0.5000 0.0000 [2 per cell]
2 Pd 0.0000 0.0000 0.5000 [1 per cell]
3 F 0.0000 0.0000 0.0000 [1 per cell]
4 F 0.2288 0.2288 0.5000 [4 per cell]